No. 1
Diffraction record for TlIn3Pd6. The X-ray powder pattern is theoretical, not measured: it uses a structure optimized by DFT (PBE) and Cu Kα, 1.54184 Å.
No peak broadening, texture or thermal motion is included.

a = 8.2672 Å, b = 4.5104 Å, c = 9.7311 Å
α = 90.00°, β = 102.69°, γ = 90.00°
Positions (direct):
Tl1 0.0604 0.2500 0.3860
Tl2 0.9396 0.7500 0.6140
In1 0.2355 0.2500 0.0167
In2 0.3506 0.7500 0.8057
In3 0.4584 0.2500 0.6064
In4 0.5416 0.7500 0.3936
In5 0.6494 0.2500 0.1943
In6 0.7645 0.7500 0.9833
Pd1 0.0650 0.7500 0.9064
Pd2 0.1520 0.7500 0.2033
Pd3 0.1618 0.2500 0.7094
Pd4 0.2600 0.7500 0.5121
Pd5 0.3672 0.2500 0.3038
Pd6 0.4554 0.7500 0.0954
Pd7 0.5446 0.2500 0.9046
Pd8 0.6328 0.7500 0.6962
Pd9 0.7400 0.2500 0.4879
Pd10 0.8382 0.7500 0.2906
Pd11 0.8480 0.2500 0.7967
Pd12 0.9350 0.2500 0.0936

Most intense lines, 2θ from 10° to 80°, low angle first:
2θ/deg, I/Imax
38.35, 100
39.61, 22
39.98, 23
53.11, 9
57.54, 14
68.21, 4
68.27, 4
68.49, 8
71.03, 13
71.53, 16



No. 2
Diffraction record for TlInPd5. The X-ray powder pattern is theoretical, not measured: it uses a structure optimized by DFT (PBE) and Cu Kα, 1.54184 Å.
No peak broadening, texture or thermal motion is included.

a = 4.7915 Å, b = 4.7915 Å, c = 11.6987 Å
α = 90.00°, β = 90.00°, γ = 74.11°
Positions (direct):
Tl1 0.0000 0.0000 0.0000
Tl2 0.0000 0.0000 0.5000
In1 0.4946 0.5054 0.7500
In2 0.5054 0.4946 0.2500
Pd1 0.0025 0.9975 0.2500
Pd2 0.0057 0.4975 0.1250
Pd3 0.0057 0.4975 0.3750
Pd4 0.4975 0.0057 0.6250
Pd5 0.4975 0.0057 0.8750
Pd6 0.5025 0.9943 0.1250
Pd7 0.5025 0.9943 0.3750
Pd8 0.9943 0.5025 0.6250
Pd9 0.9943 0.5025 0.8750
Pd10 0.9975 0.0025 0.7500

Most intense lines, 2θ from 10° to 80°, low angle first:
2θ/deg, I/Imax
19.26, 29
24.59, 38
36.38, 12
38.76, 100
39.09, 97
44.07, 69
47.56, 28
66.84, 39
77.27, 26
77.92, 25



What did the second record say?
Diffraction record for TlInPd5. The X-ray powder pattern is theoretical, not measured: it uses a structure optimized by DFT (PBE) and Cu Kα, 1.54184 Å.
No peak broadening, texture or thermal motion is included.

a = 4.7915 Å, b = 4.7915 Å, c = 11.6987 Å
α = 90.00°, β = 90.00°, γ = 74.11°
Positions (direct):
Tl1 0.0000 0.0000 0.0000
Tl2 0.0000 0.0000 0.5000
In1 0.4946 0.5054 0.7500
In2 0.5054 0.4946 0.2500
Pd1 0.0025 0.9975 0.2500
Pd2 0.0057 0.4975 0.1250
Pd3 0.0057 0.4975 0.3750
Pd4 0.4975 0.0057 0.6250
Pd5 0.4975 0.0057 0.8750
Pd6 0.5025 0.9943 0.1250
Pd7 0.5025 0.9943 0.3750
Pd8 0.9943 0.5025 0.6250
Pd9 0.9943 0.5025 0.8750
Pd10 0.9975 0.0025 0.7500

Most intense lines, 2θ from 10° to 80°, low angle first:
2θ/deg, I/Imax
19.26, 29
24.59, 38
36.38, 12
38.76, 100
39.09, 97
44.07, 69
47.56, 28
66.84, 39
77.27, 26
77.92, 25